# TaBr2Cl8
Computed X-ray diffraction stick pattern, CuKα. Input: the GGA-PBE geometry in Alexandria.
Intensities are scaled so that the largest is 100.

Peak list (12 most intense, 5 to 70 degrees two-theta, by angle)
two_theta, I (rel.)
12.04, 17
13.92, 100
14.02, 46
17.38, 57
20.37, 16
20.48, 23
22.15, 22
25.47, 61
29.14, 27
31.11, 18
35.43, 19
43.01, 22

Structural model:
```
TaBr2Cl8
1.0
7.899 -3.496 0.000
7.899 3.496 0.000
-2.751 0.000 6.996
Ta Br Cl
1 2 8
direct
0.000 0.000 0.000
0.257 0.257 0.465
0.743 0.743 0.535
0.078 0.078 0.350
0.136 0.666 0.031
0.334 0.864 0.969
0.406 0.406 0.561
0.594 0.594 0.439
0.666 0.136 0.031
0.864 0.334 0.969
0.922 0.922 0.650
```